Theoretical powder diffraction line list of Ba6LiNb2IrCl2O12 for copper Kα, from a DFT-relaxed cell (GGA-PBE, Alexandria).

Largest 10 diffraction maxima, most intense first, 5° ≤ 2θ ≤ 70°:
d (Å)  I_rel
14.877  100
3.113  40
2.990  26
2.948  16
3.281  13
1.749  12
5.365  9
2.210  9
4.853  9
4.929  9

Atomic structure:
a = 6.2741 Å, b = 6.2741 Å, c = 15.0054 Å
α = 96.58°, β = 96.58°, γ = 56.91°
Sites, in units of the cell vectors:
1 Ba 0.0000 0.0000 0.0000
2 Ba 0.0131 0.0131 0.5757
3 Ba 0.6475 0.6475 0.8497
4 Ba 0.6694 0.6694 0.4276
5 Ba 0.7195 0.7195 0.1180
6 Ba 0.9847 0.9847 0.3003
7 Li 0.5296 0.5296 0.2186
8 Nb 0.3086 0.3086 0.3984
9 Nb 0.3523 0.3523 0.0291
10 Ir 0.3138 0.3138 0.2168
11 Cl 0.0218 0.0218 0.7931
12 Cl 0.6447 0.6447 0.6387
13 O 0.0311 0.5380 0.9633
14 O 0.1256 0.6295 0.4638
15 O 0.1513 0.1513 0.4488
16 O 0.1946 0.1946 0.1022
17 O 0.1974 0.6375 0.1439
18 O 0.4475 0.9897 0.2878
19 O 0.4587 0.4587 0.3225
20 O 0.5140 0.5140 0.9878
21 O 0.5380 0.0311 0.9633
22 O 0.6295 0.1256 0.4638
23 O 0.6375 0.1974 0.1439
24 O 0.9897 0.4475 0.2878